Diffraction record for CaP2N3. The powder X-ray diffraction pattern is computed, not measured: it uses a structure optimized by DFT (PBE) and Cu Kα (weighted mean of Kα1 and Kα2).

Largest 10 diffraction maxima, sorted by position, 10° ≤ 2θ ≤ 80°:
(1 0 0), d 4.770, 2θ = 18.6°, rel. 16
(0 1 -1), d 4.659, 2θ = 19.1°, rel. 26
(1 -1 0), d 4.312, 2θ = 20.6°, rel. 43
(0 1 1), d 4.230, 2θ = 21.0°, rel. 40
(0 0 2), d 3.516, 2θ = 25.3°, rel. 100
(1 1 0), d 3.233, 2θ = 27.6°, rel. 36
(1 1 -1), d 3.094, 2θ = 28.9°, rel. 13
(0 2 0), d 2.851, 2θ = 31.4°, rel. 50
(1 -2 1), d 2.653, 2θ = 33.8°, rel. 15
(1 0 -3), d 2.201, 2θ = 41.0°, rel. 13

Crystal structure
Unit cell a=4.9939 b=5.9619 c=7.0925 alpha=94.05 beta=94.90 gamma=106.07
Atoms (fractional coordinates):
Ca 0.1605 0.1934 0.2317
Ca 0.8395 0.8066 0.7683
P 0.0109 0.6552 0.2518
P 0.4322 0.2811 0.7379
P 0.5678 0.7189 0.2621
P 0.9891 0.3448 0.7482
N 0.1939 0.3031 0.5662
N 0.1953 0.2081 0.8932
N 0.3322 0.8592 0.2867
N 0.6678 0.1408 0.7133
N 0.8047 0.7919 0.1068
N 0.8061 0.6969 0.4338